Record 1
Diffraction record for CaMnO2. The XRD peak list is computed, not measured: it uses a PBE+U-relaxed structure and Cu Kα (λ = 1.5418 Å).
Intensities are scaled so that the largest is 100.

Atomic structure:
```
16
Lattice="0.0000 4.6685 4.6685 4.6685 0.0000 4.6685 4.6685 4.6685 0.0000" Properties=species:S:1:pos:R:3 pbc="T T T"
Ca 0.0000 0.0000 0.0000
Ca 2.3342 2.3342 0.0000
Ca 2.3342 0.0000 2.3342
Ca 0.0000 2.3342 2.3342
Mn 4.6685 2.3342 2.3342
Mn 2.3342 4.6685 2.3342
Mn 2.3342 2.3342 4.6685
Mn 4.6685 4.6685 4.6685
O 2.3714 2.3714 2.3714
O 4.6313 4.6313 2.3714
O 4.6313 2.3714 4.6313
O 6.9655 4.7057 4.7057
O 2.3714 4.6313 4.6313
O 4.7057 6.9655 4.7057
O 4.7057 4.7057 6.9655
O 6.9655 6.9655 6.9655
```

Most intense lines, 2θ = 10–90°, in order of rising 2θ:
5.391 Å, intensity 4
2.815 Å, intensity 2
2.695 Å, intensity 50
2.334 Å, intensity 100
1.651 Å, intensity 59
1.408 Å, intensity 21
1.348 Å, intensity 18
1.167 Å, intensity 8

---

Record 2
Diffraction record for Na6Mn2AsC4O16. The XRD peak list is computed, not measured: it uses a PBE+U-relaxed structure and Cu Kα (λ = 1.5418 Å).
Intensities are scaled so that the largest is 100.

Atomic structure:
```
58
Lattice="0.0000 7.1362 7.1362 7.1362 0.0000 7.1362 7.1362 7.1362 0.0000" Properties=species:S:1:pos:R:3 pbc="T T T"
Na 5.3522 5.3522 1.2132
Na 5.3522 1.2132 5.3522
Na 9.4912 5.3522 5.3522
Na 8.9203 8.9203 4.7813
Na 8.9203 4.7813 8.9203
Na 13.0593 8.9203 8.9203
Na 1.2132 5.3522 5.3522
Na 5.3522 9.4912 5.3522
Na 5.3522 5.3522 9.4912
Na 4.7813 8.9203 8.9203
Na 8.9203 13.0593 8.9203
Na 8.9203 8.9203 13.0593
Mn 7.1362 3.5681 3.5681
Mn 3.5681 7.1362 3.5681
Mn 3.5681 3.5681 7.1362
Mn 7.1362 7.1362 7.1362
As 1.7841 1.7841 1.7841
As 12.4884 12.4884 12.4884
C 4.0400 4.0400 4.0400
C 6.6643 6.6643 4.0400
C 6.6643 4.0400 6.6643
C 10.2325 7.6081 7.6081
C 4.0400 6.6643 6.6643
C 7.6081 10.2325 7.6081
C 7.6081 7.6081 10.2325
C 10.2325 10.2325 10.2325
O 0.7899 0.7899 0.7899
O 2.7782 2.7782 0.7899
O 2.7782 0.7899 2.7782
O 5.0209 3.8631 3.2108
O 7.4936 5.6835 3.8631
O 6.8412 3.2108 5.6835
O 5.6835 6.8412 3.2108
O 3.8631 3.2108 5.0209
O 7.4936 5.0209 6.8412
O 0.7899 2.7782 2.7782
O 9.2516 7.4313 6.7789
O 11.0617 8.5890 7.4313
O 10.4093 6.7789 8.5890
O 3.2108 5.0209 3.8631
O 6.8412 7.4936 5.0209
O 5.6835 3.8631 7.4936
O 8.5890 10.4093 6.7789
O 7.4313 6.7789 9.2516
O 11.0617 9.2516 10.4093
O 3.8631 7.4936 5.6835
O 3.2108 5.6835 6.8412
O 5.0209 6.8412 7.4936
O 13.4826 11.4942 11.4942
O 6.7789 9.2516 7.4313
O 10.4093 11.0617 9.2516
O 8.5890 7.4313 11.0617
O 7.4313 11.0617 8.5890
O 6.7789 8.5890 10.4093
O 9.2516 10.4093 11.0617
O 11.4942 13.4826 11.4942
O 11.4942 11.4942 13.4826
O 13.4826 13.4826 13.4826
```

Most intense lines, 2θ = 10–90°, in order of rising 2θ:
5.046 Å, intensity 28
4.303 Å, intensity 100
2.747 Å, intensity 100
2.523 Å, intensity 70
1.907 Å, intensity 15
1.858 Å, intensity 17
1.648 Å, intensity 40
1.380 Å, intensity 17